Computed X-ray diffraction stick pattern
Compound: K8MgMn4O16
Radiation: a wavelength of 1.5418 Å
Structure: a PBE+U-relaxed structure
Lines closer than 0.1° are merged.

Peak list (10 most intense, 2θ = 10–90°, in order of rising 2θ)
2theta  intensity
18.62  34
20.17  25
20.50  26
22.85  31
26.83  48
27.90  100
28.07  86
28.55  66
30.87  75
47.62  25

Crystal structure
```
K8MgMn4O16
1.0
6.411 0.000 0.000
0.412 7.790 0.000
1.250 0.445 10.367
K Mg Mn O
8 1 4 16
Direct
0.000 0.000 0.000 K
0.002 0.680 0.723 K
0.061 0.178 0.632 K
0.111 0.551 0.374 K
0.419 0.158 0.196 K
0.527 0.360 0.848 K
0.531 0.877 0.493 K
0.551 0.682 0.132 K
0.801 0.269 0.298 Mg
0.020 0.969 0.351 Mn
0.022 0.452 0.023 Mn
0.518 0.911 0.839 Mn
0.589 0.429 0.508 Mn
0.070 0.187 0.367 O
0.085 0.354 0.884 O
0.232 0.442 0.107 O
0.232 0.869 0.269 O
0.327 0.946 0.744 O
0.355 0.523 0.562 O
0.439 0.991 0.984 O
0.566 0.226 0.451 O
0.567 0.701 0.856 O
0.699 0.517 0.359 O
0.736 0.008 0.781 O
0.767 0.432 0.614 O
0.806 0.005 0.262 O
0.816 0.347 0.110 O
0.949 0.658 0.998 O
0.959 0.870 0.497 O
```